1.
# Ce6ThIn
Theoretical powder XRD pattern, Cu Ka. Input: a cell relaxed with PBE.

Peak list (12 most intense, 2θ from 15° to 90°, low angle first)
4.303 Å, I = 2.3
2.782 Å, I = 100.0
2.428 Å, I = 17.1
2.400 Å, I = 33.1
1.707 Å, I = 23.5
1.697 Å, I = 11.5
1.461 Å, I = 14.0
1.449 Å, I = 27.2
1.391 Å, I = 11.9
1.200 Å, I = 3.7
1.107 Å, I = 11.8
1.102 Å, I = 5.9

Unit cell a=4.7994 b=4.7994 c=9.7132 alpha=90.00 beta=90.00 gamma=90.00
Atoms (fractional coordinates):
Ce 0.0000 0.0000 0.0000
Ce 0.0000 0.0000 0.5000
Ce 0.0000 0.5000 0.2490
Ce 0.0000 0.5000 0.7510
Ce 0.5000 0.0000 0.2490
Ce 0.5000 0.0000 0.7510
Th 0.5000 0.5000 0.5000
In 0.5000 0.5000 0.0000

2.
# Dy2ZrFe9
Theoretical powder XRD pattern, Cu Ka. Input: a cell relaxed with PBE.

Peak list (12 most intense, 2θ from 15° to 90°, low angle first)
2.599 Å, I = 75.2
2.505 Å, I = 55.5
2.170 Å, I = 14.2
2.150 Å, I = 31.9
2.131 Å, I = 100.0
2.044 Å, I = 25.4
2.014 Å, I = 32.2
1.464 Å, I = 25.1
1.387 Å, I = 19.7
1.362 Å, I = 31.4
1.339 Å, I = 12.5
1.253 Å, I = 22.4

Unit cell a=5.0105 b=5.0105 c=16.2251 alpha=90.00 beta=90.00 gamma=120.00
Atoms (fractional coordinates):
Dy 0.3333 0.6667 0.0384
Dy 0.3333 0.6667 0.4616
Dy 0.6667 0.3333 0.5384
Dy 0.6667 0.3333 0.9616
Zr 0.3333 0.6667 0.2500
Zr 0.6667 0.3333 0.7500
Fe 0.0000 0.0000 0.0000
Fe 0.0000 0.0000 0.2500
Fe 0.0000 0.0000 0.5000
Fe 0.0000 0.0000 0.7500
Fe 0.1667 0.3335 0.6290
Fe 0.1667 0.3335 0.8710
Fe 0.1667 0.8333 0.6290
Fe 0.1667 0.8333 0.8710
Fe 0.3335 0.1667 0.1290
Fe 0.3335 0.1667 0.3710
Fe 0.3333 0.6667 0.7500
Fe 0.6667 0.3333 0.2500
Fe 0.6665 0.8333 0.6290
Fe 0.6665 0.8333 0.8710
Fe 0.8333 0.1667 0.1290
Fe 0.8333 0.1667 0.3710
Fe 0.8333 0.6665 0.1290
Fe 0.8333 0.6665 0.3710

3.
# ScTi2Te4
Theoretical powder XRD pattern, Cu Ka. Input: a cell relaxed with PBE.

Peak list (12 most intense, 2θ from 15° to 90°, low angle first)
3.334 Å, I = 32.2
3.114 Å, I = 44.8
3.075 Å, I = 51.7
3.031 Å, I = 100.0
3.013 Å, I = 64.2
2.386 Å, I = 40.4
2.368 Å, I = 30.8
1.996 Å, I = 49.3
1.938 Å, I = 26.2
1.864 Å, I = 17.4
1.853 Å, I = 19.5
1.640 Å, I = 15.8

Unit cell a=7.7287 b=7.7287 c=6.9864 alpha=116.03 beta=116.03 gamma=29.05
Atoms (fractional coordinates):
Sc 0.0000 0.0000 0.0000
Ti 0.2498 0.2498 0.2998
Ti 0.7502 0.7502 0.7002
Te 0.1132 0.1132 0.4608
Te 0.3594 0.3594 0.0289
Te 0.6406 0.6406 0.9711
Te 0.8868 0.8868 0.5392

4.
# Ta2N
Theoretical powder XRD pattern, Cu Ka. Input: a cell relaxed with PBE.

Peak list (12 most intense, 2θ from 15° to 90°, low angle first)
2.657 Å, I = 20.1
2.486 Å, I = 24.3
2.343 Å, I = 100.0
1.815 Å, I = 17.7
1.534 Å, I = 19.1
1.406 Å, I = 20.2
1.328 Å, I = 2.5
1.305 Å, I = 20.0
1.283 Å, I = 15.0
1.243 Å, I = 3.2
1.172 Å, I = 4.2
1.126 Å, I = 3.2

Unit cell a=5.3139 b=5.3139 c=4.9725 alpha=90.00 beta=90.00 gamma=120.00
Atoms (fractional coordinates):
Ta 0.0000 0.3332 0.2530
Ta 0.0000 0.6668 0.7470
Ta 0.3332 0.0000 0.2530
Ta 0.3332 0.3332 0.7470
Ta 0.6668 0.0000 0.7470
Ta 0.6668 0.6668 0.2530
N 0.0000 0.0000 0.5000
N 0.3333 0.6667 0.0000
N 0.6667 0.3333 0.0000

5.
# TbNd2UP4
Theoretical powder XRD pattern, Cu Ka. Input: a cell relaxed with PBE.

Peak list (12 most intense, 2θ from 15° to 90°, low angle first)
3.327 Å, I = 45.8
3.312 Å, I = 45.1
2.875 Å, I = 100.0
2.041 Å, I = 12.4
2.035 Å, I = 24.5
2.029 Å, I = 36.7
1.736 Å, I = 11.4
1.731 Å, I = 26.3
1.656 Å, I = 12.9
1.287 Å, I = 11.0
1.284 Å, I = 11.2
1.172 Å, I = 10.6

Unit cell a=7.0334 b=4.0536 c=7.0585 alpha=90.00 beta=109.18 gamma=90.00
Atoms (fractional coordinates):
Tb 0.0000 0.0000 0.0000
Nd 0.0000 0.5000 0.5000
Nd 0.5000 0.0000 0.5000
U 0.5000 0.5000 0.0000
P 0.2527 0.5000 0.2355
P 0.2600 0.0000 0.7660
P 0.7400 0.0000 0.2340
P 0.7473 0.5000 0.7645

6.
# Ac2Ga
Theoretical powder XRD pattern, Cu Ka. Input: a cell relaxed with PBE.

Peak list (12 most intense, 2θ from 15° to 90°, low angle first)
3.828 Å, I = 9.7
3.760 Å, I = 28.5
3.109 Å, I = 100.0
3.086 Å, I = 12.3
2.700 Å, I = 11.7
2.679 Å, I = 45.1
2.021 Å, I = 30.5
1.802 Å, I = 24.3
1.795 Å, I = 17.3
1.624 Å, I = 19.3
1.492 Å, I = 9.6
1.487 Å, I = 9.5

Unit cell a=6.5800 b=6.5800 c=6.5800 alpha=109.26 beta=108.85 gamma=110.30
Atoms (fractional coordinates):
Ac 0.1806 0.1794 0.3601
Ac 0.3194 0.6794 0.9988
Ac 0.6806 0.3206 0.0012
Ac 0.8194 0.8206 0.6399
Ga 0.2500 0.7500 0.5000
Ga 0.7500 0.2500 0.5000

7.
# Tl2RuN
Theoretical powder XRD pattern, Cu Ka. Input: a cell relaxed with PBE.

Peak list (12 most intense, 2θ from 15° to 90°, low angle first)
3.463 Å, I = 39.1
2.758 Å, I = 47.6
2.575 Å, I = 100.0
2.449 Å, I = 52.2
2.157 Å, I = 20.3
1.831 Å, I = 11.9
1.775 Å, I = 44.1
1.731 Å, I = 13.2
1.619 Å, I = 11.9
1.392 Å, I = 13.1
1.387 Å, I = 21.0
1.350 Å, I = 17.4

Unit cell a=5.7577 b=5.7577 c=5.7577 alpha=106.06 beta=106.06 gamma=116.54
Atoms (fractional coordinates):
Tl 0.0730 0.1250 0.4480
Tl 0.3750 0.9270 0.0520
Tl 0.6770 0.6250 0.5520
Tl 0.8750 0.3230 0.9480
Ru 0.2500 0.7500 0.5000
Ru 0.5000 0.5000 0.0000
N 0.0000 0.0000 0.0000
N 0.7500 0.2500 0.5000

8.
# Na3RuCl8
Theoretical powder XRD pattern, Cu Ka. Input: a cell relaxed with PBE.

Peak list (12 most intense, 2θ from 15° to 90°, low angle first)
4.970 Å, I = 62.4
4.728 Å, I = 43.0
3.427 Å, I = 41.8
2.894 Å, I = 52.7
2.752 Å, I = 100.0
2.210 Å, I = 18.6
2.084 Å, I = 20.9
2.057 Å, I = 19.1
1.994 Å, I = 55.0
1.946 Å, I = 27.4
1.857 Å, I = 17.8
1.563 Å, I = 29.4

Unit cell a=6.8768 b=6.8768 c=8.1960 alpha=90.00 beta=90.00 gamma=114.63
Atoms (fractional coordinates):
Na 0.0000 0.0000 0.0000
Na 0.0000 0.5000 0.7639
Na 0.5000 0.0000 0.2361
Ru 0.0000 0.0000 0.5000
Cl 0.2017 0.7983 0.5000
Cl 0.2206 0.2261 0.7010
Cl 0.2261 0.2206 0.2990
Cl 0.2325 0.7675 0.0000
Cl 0.7675 0.2325 0.0000
Cl 0.7739 0.7794 0.2990
Cl 0.7794 0.7739 0.7010
Cl 0.7983 0.2017 0.5000